(1)
Theoretical powder X-ray diffraction pattern of LiSmAl2Au4 for Cu Kα, 1.54184 Å, from the GGA-PBE geometry in Alexandria.
Lines closer than 0.1° are merged.

Main lines, sorted by position (15° ≤ 2θ ≤ 90°):
26.89°, rel. 74; 28.89°, rel. 30; 33.70°, rel. 53; 36.41°, rel. 68; 40.30°, rel. 100; 45.47°, rel. 23; 49.12°, rel. 15; 53.51°, rel. 15; 55.43°, rel. 21; 69.24°, rel. 33; 70.73°, rel. 20; 73.26°, rel. 18

Crystal structure
a b c (Å): 8.9140 8.9140 8.9140
angles (deg): 29.08 29.08 29.08
Element x y z (fractional)
Li 0.0000 0.0000 0.0000
Sm 0.5000 0.5000 0.5000
Al 0.2603 0.2603 0.2603
Al 0.7397 0.7397 0.7397
Au 0.1016 0.1016 0.1016
Au 0.3674 0.3674 0.3674
Au 0.6326 0.6326 0.6326
Au 0.8984 0.8984 0.8984

---

(2)
Theoretical powder X-ray diffraction pattern of Sr2Li3Al12Au for Cu Kα, 1.54184 Å, from the GGA-PBE geometry in Alexandria.
Lines closer than 0.1° are merged.

Main lines, sorted by position (15° ≤ 2θ ≤ 90°):
16.49°, rel. 50; 21.45°, rel. 25; 26.78°, rel. 34; 28.28°, rel. 100; 32.39°, rel. 65; 36.68°, rel. 38; 38.36°, rel. 22; 39.54°, rel. 30; 48.23°, rel. 26; 50.95°, rel. 24; 55.21°, rel. 28; 60.87°, rel. 16

Crystal structure
a b c (Å): 10.6415 10.6415 10.6415
angles (deg): 36.46 36.46 36.46
Element x y z (fractional)
Sr 0.1448 0.1448 0.1448
Sr 0.8552 0.8552 0.8552
Li 0.0000 0.5000 0.5000
Li 0.5000 0.0000 0.5000
Li 0.5000 0.5000 0.0000
Al 0.0857 0.0857 0.6884
Al 0.0857 0.6884 0.0857
Al 0.1362 0.5765 0.5765
Al 0.3116 0.9143 0.9143
Al 0.4235 0.4235 0.8638
Al 0.4235 0.8638 0.4235
Al 0.5765 0.1362 0.5765
Al 0.5765 0.5765 0.1362
Al 0.6884 0.0857 0.0857
Al 0.8638 0.4235 0.4235
Al 0.9143 0.3116 0.9143
Al 0.9143 0.9143 0.3116
Au 0.5000 0.5000 0.5000

---

(3)
Theoretical powder X-ray diffraction pattern of SrLi2AlAu4 for Cu Kα, 1.54184 Å, from the GGA-PBE geometry in Alexandria.
Lines closer than 0.1° are merged.

Main lines, sorted by position (15° ≤ 2θ ≤ 90°):
26.32°, rel. 100; 28.18°, rel. 21; 32.66°, rel. 73; 35.20°, rel. 41; 39.81°, rel. 95; 43.69°, rel. 45; 48.35°, rel. 20; 52.40°, rel. 20; 64.36°, rel. 17; 66.61°, rel. 33; 67.77°, rel. 18; 74.96°, rel. 19

Crystal structure
a b c (Å): 9.3218 9.3218 9.3218
angles (deg): 28.12 28.12 28.12
Element x y z (fractional)
Sr 0.0000 0.0000 0.0000
Li 0.2367 0.2367 0.2367
Li 0.7633 0.7633 0.7633
Al 0.5000 0.5000 0.5000
Au 0.1349 0.1349 0.1349
Au 0.4042 0.4042 0.4042
Au 0.5958 0.5958 0.5958
Au 0.8651 0.8651 0.8651

---

(4)
Theoretical powder X-ray diffraction pattern of LiTh2AlAu6 for Cu Kα, 1.54184 Å, from the GGA-PBE geometry in Alexandria.
Lines closer than 0.1° are merged.

Main lines, sorted by position (15° ≤ 2θ ≤ 90°):
20.46°, rel. 31; 27.67°, rel. 27; 27.89°, rel. 39; 28.24°, rel. 100; 28.79°, rel. 72; 38.02°, rel. 82; 38.13°, rel. 83; 38.32°, rel. 45; 38.72°, rel. 42; 39.92°, rel. 64; 40.04°, rel. 30; 67.57°, rel. 28

Crystal structure
a b c (Å): 5.5477 6.7736 6.8916
angles (deg): 82.78 66.57 66.37
Element x y z (fractional)
Li 0.0000 0.0000 0.0000
Th 0.4783 0.2756 0.7711
Th 0.5217 0.7244 0.2289
Al 0.0000 0.5000 0.5000
Au 0.0007 0.2799 0.2154
Au 0.1454 0.0979 0.6068
Au 0.4973 0.7283 0.7808
Au 0.5027 0.2717 0.2192
Au 0.8546 0.9021 0.3932
Au 0.9993 0.7201 0.7846

---

(5)
Theoretical powder X-ray diffraction pattern of MgAl2Au3 for Cu Kα, 1.54184 Å, from the GGA-PBE geometry in Alexandria.
Lines closer than 0.1° are merged.

Main lines, sorted by position (15° ≤ 2θ ≤ 90°):
27.17°, rel. 52; 27.44°, rel. 51; 27.97°, rel. 48; 38.38°, rel. 37; 39.39°, rel. 68; 39.59°, rel. 100; 48.16°, rel. 23; 49.18°, rel. 21; 56.04°, rel. 12; 64.34°, rel. 14; 69.96°, rel. 13; 70.35°, rel. 12

Crystal structure
a b c (Å): 4.6904 6.3805 7.1974
angles (deg): 90.00 108.47 90.00
Element x y z (fractional)
Mg 0.1674 0.0000 0.3347
Mg 0.8326 0.0000 0.6653
Al 0.1694 0.5000 0.3410
Al 0.5000 0.0000 0.0000
Al 0.5000 0.5000 0.0000
Al 0.8306 0.5000 0.6590
Au 0.0000 0.2620 0.0000
Au 0.0000 0.7380 0.0000
Au 0.3374 0.2586 0.6751
Au 0.3374 0.7414 0.6751
Au 0.6626 0.2586 0.3249
Au 0.6626 0.7414 0.3249

---

(6)
Theoretical powder X-ray diffraction pattern of Mg16Al12Au for Cu Kα, 1.54184 Å, from the GGA-PBE geometry in Alexandria.
Lines closer than 0.1° are merged.

Main lines, sorted by position (15° ≤ 2θ ≤ 90°):
16.91°, rel. 40; 20.53°, rel. 31; 20.82°, rel. 69; 23.85°, rel. 29; 26.78°, rel. 31; 26.98°, rel. 29; 32.10°, rel. 40; 34.20°, rel. 40; 36.11°, rel. 79; 36.37°, rel. 54; 36.55°, rel. 100; 40.55°, rel. 51

Crystal structure
a b c (Å): 9.0461 9.0461 9.0461
angles (deg): 109.13 109.13 109.13
Element x y z (fractional)
Mg 0.0000 0.0000 0.0000
Mg 0.2798 0.6825 0.6825
Mg 0.3175 0.5920 0.9948
Mg 0.3175 0.9948 0.5920
Mg 0.3440 0.9968 0.9968
Mg 0.4153 0.4153 0.6961
Mg 0.4153 0.6961 0.4153
Mg 0.5920 0.3175 0.9948
Mg 0.5920 0.9948 0.3175
Mg 0.6825 0.2798 0.6825
Mg 0.6825 0.6825 0.2798
Mg 0.6961 0.4153 0.4153
Mg 0.9948 0.3175 0.5920
Mg 0.9948 0.5920 0.3175
Mg 0.9968 0.3440 0.9968
Mg 0.9968 0.9968 0.3440
Al 0.0001 0.6325 0.8158
Al 0.0001 0.8158 0.6325
Al 0.1614 0.3496 0.3496
Al 0.1844 0.1844 0.8014
Al 0.1844 0.8014 0.1844
Al 0.3496 0.1614 0.3496
Al 0.3496 0.3496 0.1614
Al 0.6325 0.0001 0.8158
Al 0.6325 0.8158 0.0001
Al 0.8014 0.1844 0.1844
Al 0.8158 0.0001 0.6325
Al 0.8158 0.6325 0.0001
Au 0.6992 0.6992 0.6992

---

(7)
Theoretical powder X-ray diffraction pattern of Mg2Al5Au3 for Cu Kα, 1.54184 Å, from the GGA-PBE geometry in Alexandria.
Lines closer than 0.1° are merged.

Main lines, sorted by position (15° ≤ 2θ ≤ 90°):
24.59°, rel. 16; 25.08°, rel. 100; 25.67°, rel. 21; 27.12°, rel. 22; 28.26°, rel. 15; 30.89°, rel. 17; 34.71°, rel. 30; 41.74°, rel. 15; 43.70°, rel. 20; 44.87°, rel. 39; 47.30°, rel. 19; 51.05°, rel. 24

Crystal structure
a b c (Å): 12.3697 12.3697 7.2404
angles (deg): 90.00 90.00 160.72
Element x y z (fractional)
Mg 0.0232 0.9768 0.5000
Mg 0.3206 0.6794 0.3832
Mg 0.6794 0.3206 0.8832
Mg 0.9768 0.0232 0.0000
Al 0.0986 0.9014 0.1031
Al 0.2038 0.7962 0.1802
Al 0.2093 0.7907 0.5696
Al 0.3757 0.6243 0.9643
Al 0.4428 0.5572 0.3497
Al 0.5572 0.4428 0.8497
Al 0.6243 0.3757 0.4643
Al 0.7907 0.2093 0.0696
Al 0.7962 0.2038 0.6802
Al 0.9014 0.0986 0.6031
Au 0.1146 0.8854 0.7204
Au 0.2655 0.7345 0.8734
Au 0.4579 0.5421 0.7217
Au 0.5421 0.4579 0.2217
Au 0.7345 0.2655 0.3734
Au 0.8854 0.1146 0.2204

---

(8)
Theoretical powder X-ray diffraction pattern of Mg3Al3Au2 for Cu Kα, 1.54184 Å, from the GGA-PBE geometry in Alexandria.
Lines closer than 0.1° are merged.

Main lines, sorted by position (15° ≤ 2θ ≤ 90°):
17.28°, rel. 44; 20.96°, rel. 100; 21.12°, rel. 90; 21.77°, rel. 75; 26.42°, rel. 51; 26.99°, rel. 67; 29.93°, rel. 45; 30.90°, rel. 54; 37.99°, rel. 58; 39.42°, rel. 42; 41.96°, rel. 63; 62.64°, rel. 51

Crystal structure
a b c (Å): 6.7374 16.9551 5.3836
angles (deg): 90.00 90.00 90.00
Element x y z (fractional)
Mg 0.0018 0.1170 0.0924
Mg 0.0018 0.3830 0.0924
Mg 0.1721 0.2500 0.6615
Mg 0.3279 0.7500 0.1615
Mg 0.4982 0.6170 0.5924
Mg 0.4982 0.8830 0.5924
Mg 0.5018 0.1170 0.4076
Mg 0.5018 0.3830 0.4076
Mg 0.6721 0.2500 0.8385
Mg 0.8279 0.7500 0.3385
Mg 0.9982 0.6170 0.9076
Mg 0.9982 0.8830 0.9076
Al 0.1797 0.7500 0.6640
Al 0.1813 0.0200 0.6298
Al 0.1813 0.4800 0.6298
Al 0.3187 0.5200 0.1298
Al 0.3187 0.9800 0.1298
Al 0.3203 0.2500 0.1640
Al 0.6797 0.7500 0.8360
Al 0.6813 0.0200 0.8702
Al 0.6813 0.4800 0.8702
Al 0.8187 0.5200 0.3702
Al 0.8187 0.9800 0.3702
Al 0.8203 0.2500 0.3360
Au 0.1188 0.6212 0.4107
Au 0.1188 0.8788 0.4107
Au 0.3812 0.1212 0.9107
Au 0.3812 0.3788 0.9107
Au 0.6188 0.6212 0.0893
Au 0.6188 0.8788 0.0893
Au 0.8812 0.1212 0.5893
Au 0.8812 0.3788 0.5893

---

(9)
Theoretical powder X-ray diffraction pattern of Mg8AlAu6 for Cu Kα, 1.54184 Å, from the GGA-PBE geometry in Alexandria.
Lines closer than 0.1° are merged.

Main lines, sorted by position (15° ≤ 2θ ≤ 90°):
15.49°, rel. 35; 22.78°, rel. 44; 27.67°, rel. 100; 39.05°, rel. 78; 40.01°, rel. 60; 43.15°, rel. 17; 49.34°, rel. 21; 57.14°, rel. 25; 63.97°, rel. 14; 65.32°, rel. 19; 70.10°, rel. 13; 72.03°, rel. 25

Crystal structure
a b c (Å): 7.2812 7.2812 7.2812
angles (deg): 64.83 64.83 64.83
Element x y z (fractional)
Mg 0.0426 0.3854 0.7232
Mg 0.1664 0.1664 0.1664
Mg 0.2768 0.9574 0.6146
Mg 0.3854 0.7232 0.0426
Mg 0.6146 0.2768 0.9574
Mg 0.7232 0.0426 0.3854
Mg 0.8336 0.8336 0.8336
Mg 0.9574 0.6146 0.2768
Al 0.5000 0.5000 0.5000
Au 0.1217 0.7687 0.4443
Au 0.2313 0.5557 0.8783
Au 0.4443 0.1217 0.7687
Au 0.5557 0.8783 0.2313
Au 0.7687 0.4443 0.1217
Au 0.8783 0.2313 0.5557

---

(10)
Theoretical powder X-ray diffraction pattern of Mg2AlAu7 for Cu Kα, 1.54184 Å, from the GGA-PBE geometry in Alexandria.
Lines closer than 0.1° are merged.

Main lines, sorted by position (15° ≤ 2θ ≤ 90°):
17.84°, rel. 86; 31.16°, rel. 94; 36.14°, rel. 100; 39.51°, rel. 14; 40.58°, rel. 43; 52.04°, rel. 70; 55.46°, rel. 22; 61.91°, rel. 38; 64.99°, rel. 24; 79.50°, rel. 12; 85.07°, rel. 16; 87.83°, rel. 32

Crystal structure
a b c (Å): 7.0297 7.0297 7.0297
angles (deg): 60.00 60.00 60.00
Element x y z (fractional)
Mg 0.2500 0.2500 0.2500
Mg 0.7500 0.7500 0.7500
Al 0.0000 0.0000 0.0000
Au 0.2392 0.2392 0.7608
Au 0.2392 0.7608 0.2392
Au 0.2392 0.7608 0.7608
Au 0.5000 0.5000 0.5000
Au 0.7608 0.2392 0.2392
Au 0.7608 0.2392 0.7608
Au 0.7608 0.7608 0.2392

---

(11)
Theoretical powder X-ray diffraction pattern of Mg3Al2Au3 for Cu Kα, 1.54184 Å, from the GGA-PBE geometry in Alexandria.
Lines closer than 0.1° are merged.

Main lines, sorted by position (15° ≤ 2θ ≤ 90°):
22.34°, rel. 32; 25.85°, rel. 24; 27.96°, rel. 100; 33.57°, rel. 27; 38.45°, rel. 55; 39.21°, rel. 27; 40.69°, rel. 30; 42.85°, rel. 20; 50.72°, rel. 43; 72.57°, rel. 20; 75.06°, rel. 19; 78.01°, rel. 16

Crystal structure
a b c (Å): 7.9593 7.9593 5.3398
angles (deg): 90.00 90.00 120.00
Element x y z (fractional)
Mg 0.0000 0.2506 0.2500
Mg 0.0000 0.7494 0.7500
Mg 0.2506 0.0000 0.2500
Mg 0.2506 0.2506 0.7500
Mg 0.7494 0.0000 0.7500
Mg 0.7494 0.7494 0.2500
Al 0.3333 0.6667 0.0000
Al 0.3333 0.6667 0.5000
Al 0.6667 0.3333 0.0000
Al 0.6667 0.3333 0.5000
Au 0.0000 0.3949 0.7500
Au 0.0000 0.6051 0.2500
Au 0.3949 0.0000 0.7500
Au 0.3949 0.3949 0.2500
Au 0.6051 0.0000 0.2500
Au 0.6051 0.6051 0.7500

---

> Number 8 is which compound?

Mg3Al3Au2

---

Repeat the third record exactly.
Theoretical powder X-ray diffraction pattern of SrLi2AlAu4 for Cu Kα, 1.54184 Å, from the GGA-PBE geometry in Alexandria.
Lines closer than 0.1° are merged.

Main lines, sorted by position (15° ≤ 2θ ≤ 90°):
26.32°, rel. 100; 28.18°, rel. 21; 32.66°, rel. 73; 35.20°, rel. 41; 39.81°, rel. 95; 43.69°, rel. 45; 48.35°, rel. 20; 52.40°, rel. 20; 64.36°, rel. 17; 66.61°, rel. 33; 67.77°, rel. 18; 74.96°, rel. 19

Crystal structure
a b c (Å): 9.3218 9.3218 9.3218
angles (deg): 28.12 28.12 28.12
Element x y z (fractional)
Sr 0.0000 0.0000 0.0000
Li 0.2367 0.2367 0.2367
Li 0.7633 0.7633 0.7633
Al 0.5000 0.5000 0.5000
Au 0.1349 0.1349 0.1349
Au 0.4042 0.4042 0.4042
Au 0.5958 0.5958 0.5958
Au 0.8651 0.8651 0.8651

---

> Number 7 is which compound?

Mg2Al5Au3